Entry 1:
Theoretical powder diffraction line list of PmSm2Dy5Th for λ = 1.5418 Å (Cu Kα), from a structure optimized by DFT (GGA-PBE).

Crystal structure
Cell lengths 9.8509, 9.8509, 9.8509 Å; angles 127.33, 127.33, 77.71 degrees
Atoms (fractional coordinates):
Pm  0.2500  0.7500  0.5000
Pm  0.7500  0.2500  0.5000
Sm  0.1158  0.6158  0.7316
Sm  0.3842  0.1158  0.5000
Sm  0.6158  0.8842  0.5000
Sm  0.8842  0.3842  0.2684
Dy  0.0000  0.0000  0.0000
Dy  0.0727  0.1505  0.5000
Dy  0.1505  0.6505  0.0779
Dy  0.3495  0.4273  0.5000
Dy  0.4273  0.9273  0.0779
Dy  0.5000  0.5000  0.0000
Dy  0.5727  0.0727  0.9221
Dy  0.6505  0.5727  0.5000
Dy  0.8495  0.3495  0.9221
Dy  0.9273  0.8495  0.5000
Th  0.2500  0.2500  0.0000
Th  0.7500  0.7500  0.0000

Top 6 peaks for 2θ from 5° to 70°, sorted by position:
- 28.75°, 3.105 Å, intensity 41
- 28.90°, 3.090 Å, intensity 53
- 31.02°, 2.883 Å, intensity 100
- 32.40°, 2.764 Å, intensity 16
- 43.06°, 2.101 Å, intensity 20
- 52.56°, 1.741 Å, intensity 25

Entry 2:
Theoretical powder diffraction line list of Tb3TcO7 for λ = 1.5418 Å (Cu Kα), from a structure optimized by DFT (GGA-PBE).

Crystal structure
Cell lengths 6.5008, 6.5008, 7.4499 Å; angles 90.00, 90.00, 108.50 degrees
Atoms (fractional coordinates):
Tb  0.0378  0.4993  0.2585
Tb  0.0414  0.0414  0.0000
Tb  0.4993  0.0378  0.7415
Tb  0.5007  0.9622  0.2415
Tb  0.9586  0.9586  0.5000
Tb  0.9622  0.5007  0.7585
Tc  0.4980  0.4980  0.5000
Tc  0.5020  0.5020  0.0000
O  0.1299  0.8701  0.7500
O  0.1379  0.8621  0.2500
O  0.1739  0.4187  0.9765
O  0.1971  0.4536  0.5412
O  0.4187  0.1739  0.0235
O  0.4295  0.5705  0.2500
O  0.4536  0.1971  0.4588
O  0.5464  0.8029  0.9588
O  0.5705  0.4295  0.7500
O  0.5813  0.8261  0.5235
O  0.8029  0.5464  0.0412
O  0.8261  0.5813  0.4765
O  0.8621  0.1379  0.7500
O  0.8701  0.1299  0.2500

Top 6 peaks for 2θ from 5° to 70°, sorted by position:
- 28.97°, 3.082 Å, intensity 99
- 29.35°, 3.043 Å, intensity 100
- 33.70°, 2.659 Å, intensity 45
- 33.98°, 2.638 Å, intensity 21
- 48.61°, 1.873 Å, intensity 54
- 57.82°, 1.595 Å, intensity 38

Entry 3:
Theoretical powder diffraction line list of AcPmSm2Tl4 for λ = 1.5418 Å (Cu Kα), from a structure optimized by DFT (GGA-PBE).

Crystal structure
Cell lengths 9.6703, 9.6703, 9.6703 Å; angles 33.51, 33.51, 33.51 degrees
Atoms (fractional coordinates):
Ac  0.0000  0.0000  0.0000
Pm  0.5000  0.5000  0.5000
Sm  0.2494  0.2494  0.2494
Sm  0.7506  0.7506  0.7506
Tl  0.1276  0.1276  0.1276
Tl  0.3783  0.3783  0.3783
Tl  0.6217  0.6217  0.6217
Tl  0.8724  0.8724  0.8724

Top 6 peaks for 2θ from 5° to 70°, sorted by position:
- 22.54°, 3.944 Å, intensity 1
- 24.59°, 3.620 Å, intensity 1
- 32.09°, 2.789 Å, intensity 100
- 46.02°, 1.972 Å, intensity 19
- 57.21°, 1.610 Å, intensity 39
- 67.12°, 1.394 Å, intensity 12

Entry 4:
Theoretical powder diffraction line list of Dy7Ho12Pu for λ = 1.5418 Å (Cu Kα), from a structure optimized by DFT (GGA-PBE).

Crystal structure
Cell lengths 8.6835, 8.6835, 8.6835 Å; angles 99.23, 99.23, 99.23 degrees
Atoms (fractional coordinates):
Dy  0.0000  0.0000  0.0000
Dy  0.1646  0.6014  0.6014
Dy  0.3986  0.3986  0.8354
Dy  0.3986  0.8354  0.3986
Dy  0.6014  0.1646  0.6014
Dy  0.6014  0.6014  0.1646
Dy  0.8354  0.3986  0.3986
Ho  0.0000  0.2602  0.7398
Ho  0.0000  0.7398  0.2602
Ho  0.1470  0.1470  0.4144
Ho  0.1470  0.4144  0.1470
Ho  0.2602  0.0000  0.7398
Ho  0.2602  0.7398  0.0000
Ho  0.4144  0.1470  0.1470
Ho  0.5856  0.8530  0.8530
Ho  0.7398  0.0000  0.2602
Ho  0.7398  0.2602  0.0000
Ho  0.8530  0.5856  0.8530
Ho  0.8530  0.8530  0.5856
Pu  0.5000  0.5000  0.5000

Top 6 peaks for 2θ from 5° to 70°, sorted by position:
- 29.87°, 2.992 Å, intensity 65
- 31.64°, 2.827 Å, intensity 82
- 31.91°, 2.804 Å, intensity 67
- 32.07°, 2.790 Å, intensity 100
- 34.50°, 2.600 Å, intensity 46
- 57.24°, 1.609 Å, intensity 33

Entry 5:
Theoretical powder diffraction line list of K4HoRu3O12 for λ = 1.5418 Å (Cu Kα), from a structure optimized by DFT (GGA-PBE).

Crystal structure
Cell lengths 6.9960, 6.9960, 6.9960 Å; angles 109.47, 109.47, 109.47 degrees
Atoms (fractional coordinates):
K  0.0000  0.0000  0.5000
K  0.0000  0.5000  0.0000
K  0.5000  0.0000  0.0000
K  0.5000  0.5000  0.5000
Ho  0.0000  0.0000  0.0000
Ru  0.0000  0.5000  0.5000
Ru  0.5000  0.0000  0.5000
Ru  0.5000  0.5000  0.0000
O  0.0000  0.2685  0.2685
O  0.0000  0.7315  0.7315
O  0.2500  0.5000  0.7500
O  0.2500  0.7500  0.5000
O  0.2685  0.0000  0.2685
O  0.2685  0.2685  0.0000
O  0.5000  0.2500  0.7500
O  0.5000  0.7500  0.2500
O  0.7315  0.0000  0.7315
O  0.7315  0.7315  0.0000
O  0.7500  0.2500  0.5000
O  0.7500  0.5000  0.2500

Top 6 peaks for 2θ from 5° to 70°, sorted by position:
- 22.01°, 4.039 Å, intensity 54
- 31.32°, 2.856 Å, intensity 100
- 44.88°, 2.020 Å, intensity 37
- 50.53°, 1.806 Å, intensity 22
- 55.75°, 1.649 Å, intensity 38
- 65.35°, 1.428 Å, intensity 21

Entry 6:
Theoretical powder diffraction line list of MgInRh for λ = 1.5418 Å (Cu Kα), from a structure optimized by DFT (GGA-PBE).

Crystal structure
Cell lengths 3.1759, 3.5717, 9.3435 Å; angles 90.00, 90.00, 90.00 degrees
Atoms (fractional coordinates):
Mg  0.0000  0.0000  0.0000
Mg  0.5000  0.5000  0.5000
In  0.0000  0.0000  0.3073
In  0.5000  0.5000  0.8073
Rh  0.0000  0.0000  0.6437
Rh  0.5000  0.5000  0.1437

Top 6 peaks for 2θ from 5° to 70°, sorted by position:
- 19.00°, 4.672 Å, intensity 38
- 26.72°, 3.336 Å, intensity 30
- 37.91°, 2.373 Å, intensity 100
- 38.35°, 2.347 Å, intensity 95
- 40.57°, 2.224 Å, intensity 81
- 67.24°, 1.392 Å, intensity 35

Entry 7:
Theoretical powder diffraction line list of Sc8C5 for λ = 1.5418 Å (Cu Kα), from a structure optimized by DFT (GGA-PBE).

Crystal structure
Cell lengths 6.4758, 6.4758, 7.9501 Å; angles 126.25, 126.25, 61.56 degrees
Atoms (fractional coordinates):
Sc  0.0162  0.5439  0.8337
Sc  0.0176  0.0176  0.3176
Sc  0.4561  0.9838  0.1663
Sc  0.4711  0.4711  0.6633
Sc  0.5289  0.5289  0.3367
Sc  0.5439  0.0162  0.8337
Sc  0.9824  0.9824  0.6824
Sc  0.9838  0.4561  0.1663
C  0.0000  0.0000  0.0000
C  0.2549  0.7451  0.5000
C  0.2720  0.2720  0.0018
C  0.7280  0.7280  0.9982
C  0.7451  0.2549  0.5000

Top 6 peaks for 2θ from 5° to 70°, sorted by position:
- 15.93°, 5.563 Å, intensity 27
- 32.18°, 2.781 Å, intensity 38
- 34.81°, 2.577 Å, intensity 33
- 35.03°, 2.561 Å, intensity 67
- 35.27°, 2.544 Å, intensity 100
- 45.57°, 1.991 Å, intensity 32

Entry 8:
Theoretical powder diffraction line list of PaMn3Ga9 for λ = 1.5418 Å (Cu Kα), from a structure optimized by DFT (GGA-PBE).

Crystal structure
Cell lengths 6.8260, 6.8260, 6.7501 Å; angles 97.92, 97.92, 135.70 degrees
Atoms (fractional coordinates):
Pa  0.0000  0.0000  0.0000
Mn  0.0000  0.5000  0.0000
Mn  0.5000  0.0000  0.0000
Mn  0.5000  0.5000  0.5000
Ga  0.0000  0.0000  0.5000
Ga  0.0036  0.3591  0.3371
Ga  0.2917  0.5139  0.7887
Ga  0.3591  0.0036  0.3371
Ga  0.4861  0.7083  0.2113
Ga  0.5139  0.2917  0.7887
Ga  0.6409  0.9964  0.6629
Ga  0.7083  0.4861  0.2113
Ga  0.9964  0.6409  0.6629

Top 6 peaks for 2θ from 5° to 70°, sorted by position:
- 34.68°, 2.587 Å, intensity 30
- 34.86°, 2.573 Å, intensity 24
- 35.06°, 2.560 Å, intensity 32
- 40.29°, 2.238 Å, intensity 100
- 40.47°, 2.229 Å, intensity 85
- 40.70°, 2.217 Å, intensity 29